(1)
Calculated powder diffraction line list
Compound: PuTh
Radiation: copper Kα
Structure: a structure optimized by DFT (GGA-PBE)
Intensities are scaled so that the largest is 100.

Principal peaks in the range 2θ from 10° to 90°, in order of rising 2θ:
- 29.60°, I = 23.3
- 31.83°, I = 25.8
- 33.70°, I = 100.0
- 52.51°, I = 19.6
- 57.92°, I = 22.1
- 62.73°, I = 23.2

Structure:
abc: 3.4852 3.4852 5.6228
angles: 90.00 90.00 120.00
Positions (direct):
Pu 0.0000 0.0000 0.0000
Th 0.6667 0.3333 0.5000

---

(2)
Calculated powder diffraction line list
Compound: Pu2Tl
Radiation: copper Kα
Structure: a structure optimized by DFT (GGA-PBE)
Intensities are scaled so that the largest is 100.

Principal peaks in the range 2θ from 10° to 90°, in order of rising 2θ:
- 10.83°, I = 100.0
- 21.77°, I = 33.1
- 27.49°, I = 36.4
- 35.91°, I = 29.0
- 37.62°, I = 32.4
- 45.81°, I = 18.8

Structure:
abc: 10.0020 10.0020 10.0020
angles: 60.00 60.00 60.00
Positions (direct):
Pu 0.0000 0.0000 0.0000
Pu 0.0000 0.0000 0.5000
Pu 0.0000 0.5000 0.0000
Pu 0.5000 0.0000 0.0000
Tl 0.1250 0.1250 0.1250
Tl 0.8750 0.8750 0.8750

---

(3)
Calculated powder diffraction line list
Compound: PuZrZn
Radiation: copper Kα
Structure: a structure optimized by DFT (GGA-PBE)
Intensities are scaled so that the largest is 100.

Principal peaks in the range 2θ from 10° to 90°, in order of rising 2θ:
- 23.11°, I = 36.4
- 26.74°, I = 51.8
- 38.18°, I = 100.0
- 45.11°, I = 20.2
- 62.28°, I = 20.4
- 69.02°, I = 35.1

Structure:
abc: 4.7139 4.7139 4.7139
angles: 60.00 60.00 60.00
Positions (direct):
Pu 0.0000 0.0000 0.0000
Zr 0.5000 0.5000 0.5000
Zn 0.2500 0.2500 0.2500

---

(4)
Calculated powder diffraction line list
Compound: Pu2Zr
Radiation: copper Kα
Structure: a structure optimized by DFT (GGA-PBE)
Intensities are scaled so that the largest is 100.

Principal peaks in the range 2θ from 10° to 90°, in order of rising 2θ:
- 13.12°, I = 100.0
- 26.42°, I = 48.1
- 33.42°, I = 32.8
- 43.82°, I = 27.5
- 45.94°, I = 27.4
- 51.90°, I = 23.7

Structure:
abc: 8.2633 8.2633 8.2633
angles: 60.00 60.00 60.00
Positions (direct):
Pu 0.0000 0.0000 0.0000
Pu 0.0000 0.0000 0.5000
Pu 0.0000 0.5000 0.0000
Pu 0.5000 0.0000 0.0000
Zr 0.1250 0.1250 0.1250
Zr 0.8750 0.8750 0.8750